Entry 1:
Structure and computed powder XRD pattern of PrYO3 (the PBE geometry in Alexandria; a wavelength of 1.5418 Å).
No peak broadening, texture or thermal motion is included.

Crystal structure
```
data_PrYO3
_chemical_formula_sum 'Pr4 Y4 O12'
_space_group_name_H-M_alt 'C m m m'
_space_group_IT_number 65
_space_group_name_Hall '-C 2 2'
_cell_length_a 5.9504
_cell_length_b 13.0529
_cell_length_c 4.1602
_cell_angle_alpha 90.00
_cell_angle_beta 90.00
_cell_angle_gamma 90.00
loop_
_atom_site_label
_atom_site_type_symbol
_atom_site_fract_x
_atom_site_fract_y
_atom_site_fract_z
_atom_site_occupancy
Pr1 Pr 0.0000 0.1618 0.0000 1
Y1 Y 0.0000 0.3811 0.5000 1
O1 O 0.0000 0.3332 0.0000 1
O2 O 0.2318 0.0000 0.5000 1
O3 O 0.2500 0.2500 0.5000 1
```

The 10 most intense peaks (2θ = 5–70°), sorted by position:
| Position (°2θ) | intensity | hkl |
| --- | --- | --- |
| 13.57 | 28 | 0 2 0 |
| 25.38 | 32 | 0 2 1 |
| 27.03 | 89 | 1 1 1 |
| 27.33 | 28 | 0 4 0 |
| 30.04 | 46 | 2 0 0 |
| 33.39 | 100 | 1 3 1 |
| 41.05 | 39 | 2 4 0 |
| 43.51 | 28 | 0 0 2 |
| 55.50 | 22 | 3 3 1 |
| 61.36 | 22 | 2 4 2 |

Entry 2:
Structure and computed powder XRD pattern of PrY3O (the PBE geometry in Alexandria; a wavelength of 1.5418 Å).
No peak broadening, texture or thermal motion is included.

Crystal structure
```
data_PrY3O
_chemical_formula_sum 'Pr2 Y6 O2'
_space_group_name_H-M_alt 'P m n 21'
_space_group_IT_number 31
_space_group_name_Hall 'P 2ac -2'
_cell_length_a 7.0980
_cell_length_b 6.5305
_cell_length_c 5.6921
_cell_angle_alpha 90.00
_cell_angle_beta 90.00
_cell_angle_gamma 90.00
loop_
_atom_site_label
_atom_site_type_symbol
_atom_site_fract_x
_atom_site_fract_y
_atom_site_fract_z
_atom_site_occupancy
Pr1 Pr 0.0000 0.1634 0.0000 1
Y1 Y 0.0000 0.8244 0.4836 1
Y2 Y 0.2488 0.6306 0.9950 1
O1 O 0.0000 0.5067 0.2483 1
```

The 10 most intense peaks (2θ = 5–70°), sorted by position:
| Position (°2θ) | intensity | hkl |
| --- | --- | --- |
| 28.63 | 31 | 2 1 0 |
| 31.43 | 39 | 0 0 2 |
| 31.59 | 71 | 0 2 1 |
| 32.75 | 100 | 2 1 1 |
| 43.03 | 26 | 2 1 2 |
| 49.10 | 21 | 2 3 0 |
| 56.06 | 14 | 0 2 3 |
| 56.80 | 20 | 2 1 3 |
| 59.47 | 20 | 2 3 2 |
| 61.65 | 31 | 4 0 2 |